1.
For Ba5Sr3Ni2, a cell relaxed with GGA-PBE gives the computed PXRD pattern in this record (Cu Ka).
No peak broadening, texture or thermal motion is included.

Structure:
Cell: 12.4687 17.6929 8.8555 Å, 90.00 90.00 90.00°
Space group Ibam (No. 72)
Symmetry-distinct sites (fractional):
1 Ba 0.0000 0.0000 0.2500
2 Ba 0.0000 0.2573 0.2500
3 Ba 0.2402 0.3772 0.0000
4 Sr 0.0000 0.5000 0.2500
5 Sr 0.2384 0.3781 0.5000
6 Ni 0.9997 0.3763 0.0000

Largest 10 diffraction maxima, low angle first, 2θ from 10° to 90°:
2θ 24.67, d 3.609, I 100, hkl 2 0 2
2θ 28.52, d 3.129, I 62, hkl 0 4 2
2θ 28.64, d 3.117, I 30, hkl 4 0 0
2θ 40.78, d 2.213, I 23, hkl 0 0 4
2θ 40.86, d 2.208, I 45, hkl 4 4 2
2θ 48.24, d 1.886, I 31, hkl 2 4 4
2θ 48.39, d 1.881, I 15, hkl 6 0 2
2θ 50.59, d 1.804, I 24, hkl 4 0 4
2θ 66.88, d 1.399, I 20, hkl 0 4 6
2θ 74.29, d 1.277, I 15, hkl 4 4 6

2.
For AlV3H, a cell relaxed with GGA-PBE gives the computed PXRD pattern in this record (Cu Ka).
No peak broadening, texture or thermal motion is included.

Structure:
Cell: 6.9413 4.9742 8.7678 Å, 90.00 128.93 90.00°
Space group P2_1/c (No. 14)
Symmetry-distinct sites (fractional):
1 Al 0.1686 0.2503 0.0841
2 V 0.0003 0.9997 0.2501
3 V 0.3283 0.7503 0.1688
4 V 0.4433 0.2500 0.4692
5 H 0.2315 0.7493 0.4229

Largest 10 diffraction maxima, low angle first, 2θ from 10° to 90°:
2θ 31.86, d 2.809, I 37, hkl 0 1 2
2θ 36.11, d 2.487, I 29, hkl 0 2 0
2θ 39.11, d 2.303, I 58, hkl 1 0 2
2θ 39.26, d 2.295, I 65, hkl 3 0 -2
2θ 39.91, d 2.259, I 81, hkl 1 2 0
2θ 41.18, d 2.192, I 100, hkl 2 0 -4
2θ 41.76, d 2.163, I 36, hkl 1 2 -2
2θ 43.29, d 2.090, I 54, hkl 1 1 2
2θ 43.43, d 2.084, I 50, hkl 3 1 -2
2θ 45.15, d 2.008, I 72, hkl 2 2 -2

3.
For Rb2GeTeS, a cell relaxed with GGA-PBE gives the computed PXRD pattern in this record (Cu Ka).
No peak broadening, texture or thermal motion is included.

Structure:
Cell: 8.9353 4.4471 10.2424 Å, 90.00 103.52 90.00°
Space group P2_1/m (No. 11)
Symmetry-distinct sites (fractional):
1 Rb 0.1509 0.2500 0.4039
2 Rb 0.2817 0.2500 0.8992
3 Ge 0.4791 0.7500 0.6324
4 Te 0.3611 0.7500 0.2036
5 S 0.2324 0.7500 0.6566

Largest 10 diffraction maxima, low angle first, 2θ from 10° to 90°:
2θ 10.18, d 8.688, I 55, hkl 1 0 0
2θ 26.88, d 3.317, I 100, hkl 0 1 2
2θ 28.63, d 3.118, I 16, hkl 2 1 -1
2θ 28.73, d 3.107, I 24, hkl 2 1 0
2θ 29.81, d 2.997, I 23, hkl 2 0 -3
2θ 30.05, d 2.973, I 32, hkl 3 0 -1
2θ 30.30, d 2.949, I 37, hkl 1 1 2
2θ 36.10, d 2.488, I 17, hkl 0 0 4
2θ 39.92, d 2.258, I 40, hkl 3 1 1
2θ 40.57, d 2.224, I 23, hkl 0 2 0

4.
For Ho2NpRu2, a cell relaxed with GGA-PBE gives the computed PXRD pattern in this record (Cu Ka).
No peak broadening, texture or thermal motion is included.

Structure:
Cell: 9.9860 5.7951 7.7671 Å, 90.00 101.20 90.00°
Space group C2/c (No. 15)
Symmetry-distinct sites (fractional):
1 Ho 0.1516 0.1319 0.1515
2 Np 0.0000 0.3606 0.7500
3 Ru 0.1282 0.3653 0.5100

Largest 10 diffraction maxima, low angle first, 2θ from 10° to 90°:
2θ 31.45, d 2.845, I 29, hkl 3 1 0
2θ 31.66, d 2.826, I 38, hkl 3 1 -1
2θ 32.46, d 2.759, I 56, hkl 2 0 2
2θ 33.08, d 2.708, I 100, hkl 0 2 1
2θ 35.50, d 2.529, I 58, hkl 3 1 1
2θ 36.07, d 2.490, I 42, hkl 3 1 -2
2θ 38.14, d 2.360, I 65, hkl 1 1 -3
2θ 39.10, d 2.304, I 68, hkl 2 2 1
2θ 39.70, d 2.270, I 36, hkl 4 0 -2
2θ 64.59, d 1.443, I 33, hkl 6 2 -1

5.
For Bi4Pb5, a cell relaxed with GGA-PBE gives the computed PXRD pattern in this record (Cu Ka).
No peak broadening, texture or thermal motion is included.

Structure:
Cell: 12.4806 5.9941 9.4867 Å, 90.00 125.22 90.00°
Space group C2/m (No. 12)
Symmetry-distinct sites (fractional):
1 Bi 0.0433 0.0000 0.2048
2 Bi 0.1638 0.0000 0.6711
3 Pb 0.0000 0.5000 0.0000
4 Pb 0.1281 0.5000 0.4500
5 Pb 0.2161 0.5000 0.8742

Largest 10 diffraction maxima, low angle first, 2θ from 10° to 90°:
2θ 29.81, d 2.997, I 33, hkl 0 2 0
2θ 29.93, d 2.986, I 31, hkl 4 0 -1
2θ 32.66, d 2.742, I 100, hkl 3 1 -3
2θ 42.75, d 2.115, I 24, hkl 4 2 -1
2θ 50.72, d 1.800, I 7, hkl 2 0 -5
2θ 54.75, d 1.677, I 24, hkl 3 3 -3
2θ 54.88, d 1.673, I 22, hkl 7 1 -4
2θ 59.96, d 1.543, I 13, hkl 2 2 -5
2θ 71.91, d 1.313, I 10, hkl 7 3 -4
2θ 87.26, d 1.117, I 7, hkl 3 5 -3

6.
For TbErSiPd, a cell relaxed with GGA-PBE gives the computed PXRD pattern in this record (Cu Ka).
No peak broadening, texture or thermal motion is included.

Structure:
Cell: 4.2203 3.9350 10.7691 Å, 90.00 90.00 90.00°
Space group Amm2 (No. 38)
Symmetry-distinct sites (fractional):
1 Tb 0.0000 0.0000 0.0000
2 Er 0.5000 0.0000 0.7190
3 Si 0.0000 0.0000 0.2786
4 Pd 0.5000 0.0000 0.4321

Largest 10 diffraction maxima, low angle first, 2θ from 10° to 90°:
2θ 26.84, d 3.322, I 35, hkl 1 0 2
2θ 32.19, d 2.780, I 100, hkl 1 1 1
2θ 33.28, d 2.692, I 27, hkl 0 0 4
2θ 33.80, d 2.652, I 44, hkl 0 1 3
2θ 39.71, d 2.270, I 18, hkl 1 0 4
2θ 40.16, d 2.245, I 45, hkl 1 1 3
2θ 42.86, d 2.110, I 24, hkl 2 0 0
2θ 46.14, d 1.967, I 20, hkl 0 2 0
2θ 55.66, d 1.651, I 32, hkl 1 0 6
2θ 81.14, d 1.185, I 14, hkl 2 1 7

7.
For TiIn3F6, a cell relaxed with GGA-PBE gives the computed PXRD pattern in this record (Cu Ka).
No peak broadening, texture or thermal motion is included.

Structure:
Cell: 7.3984 9.1661 11.7455 Å, 90.00 90.00 90.00°
Space group Fmmm (No. 69)
Symmetry-distinct sites (fractional):
1 Ti 0.0000 0.0000 0.0000
2 In 0.0000 0.0000 0.5000
3 In 0.2500 0.2500 0.2500
4 F 0.0000 0.2065 0.0000
5 F 0.1862 0.0000 0.1183

Largest 10 diffraction maxima, low angle first, 2θ from 10° to 90°:
2θ 24.64, d 3.613, I 100, hkl 0 2 2
2θ 28.52, d 3.130, I 95, hkl 2 0 2
2θ 30.44, d 2.936, I 27, hkl 0 0 4
2θ 31.07, d 2.879, I 38, hkl 2 2 0
2θ 39.32, d 2.291, I 31, hkl 0 4 0
2θ 44.05, d 2.056, I 53, hkl 2 2 4
2θ 49.28, d 1.849, I 46, hkl 4 0 0
2θ 50.53, d 1.806, I 15, hkl 0 4 4
2θ 52.92, d 1.730, I 17, hkl 2 0 6
2θ 55.84, d 1.646, I 20, hkl 4 2 2

8.
For MnCr4CdS8, a cell relaxed with GGA-PBE gives the computed PXRD pattern in this record (Cu Ka).
No peak broadening, texture or thermal motion is included.

Structure:
Cell: 10.2184 10.2184 10.2184 Å, 90.00 90.00 90.00°
Space group F-43m (No. 216)
Symmetry-distinct sites (fractional):
1 Mn 0.0000 0.0000 0.0000
2 Cr 0.1251 0.1251 0.6251
3 Cd 0.2500 0.2500 0.2500
4 S 0.1090 0.1090 0.3910
5 S 0.1361 0.1361 0.8639

Largest 10 diffraction maxima, low angle first, 2θ from 10° to 90°:
2θ 24.64, d 3.613, I 49, hkl 2 2 0
2θ 28.98, d 3.081, I 100, hkl 3 1 1
2θ 35.13, d 2.555, I 26, hkl 4 0 0
2θ 43.38, d 2.086, I 18, hkl 4 2 2
2θ 46.16, d 1.967, I 53, hkl 5 1 1
2θ 50.53, d 1.806, I 74, hkl 4 4 0
2θ 59.30, d 1.558, I 13, hkl 5 3 3
2θ 68.75, d 1.365, I 11, hkl 6 4 2
2θ 70.83, d 1.330, I 17, hkl 5 5 3
2θ 81.59, d 1.180, I 13, hkl 5 5 5

9.
For BaNaSmSeO6, a cell relaxed with GGA-PBE gives the computed PXRD pattern in this record (Cu Ka).
No peak broadening, texture or thermal motion is included.

Structure:
Cell: 8.2421 8.2421 8.2421 Å, 90.00 90.00 90.00°
Space group F-43m (No. 216)
Symmetry-distinct sites (fractional):
1 Ba 0.0000 0.0000 0.0000
2 Na 0.0000 0.0000 0.5000
3 Sm 0.2500 0.2500 0.2500
4 Se 0.2500 0.2500 0.7500
5 O 0.0272 0.2500 0.7500

Largest 10 diffraction maxima, low angle first, 2θ from 10° to 90°:
2θ 18.65, d 4.759, I 25, hkl 1 1 1
2θ 21.56, d 4.121, I 12, hkl 2 0 0
2θ 30.68, d 2.914, I 100, hkl 2 2 0
2θ 36.14, d 2.485, I 17, hkl 3 1 1
2θ 43.94, d 2.061, I 33, hkl 4 0 0
2θ 48.12, d 1.891, I 9, hkl 3 3 1
2θ 54.54, d 1.682, I 39, hkl 4 2 2
2θ 63.89, d 1.457, I 19, hkl 4 4 0
2θ 72.54, d 1.303, I 18, hkl 6 2 0
2θ 88.85, d 1.101, I 22, hkl 6 4 2

10.
For La4DySe7, a cell relaxed with GGA-PBE gives the computed PXRD pattern in this record (Cu Ka).
No peak broadening, texture or thermal motion is included.

Structure:
Cell: 14.0167 4.1656 12.5275 Å, 90.00 105.30 90.00°
Space group Cm (No. 8)
Symmetry-distinct sites (fractional):
1 La 0.0000 0.0000 0.0000
2 La 0.0860 0.5000 0.3781
3 La 0.1901 0.0000 0.7653
4 La 0.3871 0.5000 0.5693
5 Dy 0.2743 0.5000 0.1491
6 Se 0.0479 0.5000 0.6234
7 Se 0.1303 0.5000 0.9305
8 Se 0.1580 0.0000 0.2208
9 Se 0.2259 0.0000 0.5207
10 Se 0.3477 0.5000 0.7882
11 Se 0.3809 0.0000 0.0759
12 Se 0.4258 0.5000 0.3491

Largest 10 diffraction maxima, low angle first, 2θ from 10° to 90°:
2θ 22.17, d 4.010, I 73, hkl 2 0 2
2θ 22.52, d 3.949, I 62, hkl 2 0 -3
2θ 28.79, d 3.100, I 74, hkl 3 1 -1
2θ 30.29, d 2.950, I 100, hkl 3 1 -2
2θ 31.43, d 2.847, I 67, hkl 3 1 1
2θ 33.46, d 2.678, I 50, hkl 3 1 -3
2θ 38.80, d 2.321, I 50, hkl 1 1 4
2θ 42.16, d 2.143, I 54, hkl 5 1 1
2θ 43.31, d 2.089, I 57, hkl 6 0 -4
2θ 43.45, d 2.083, I 60, hkl 0 2 0

11.
For Na4Sr2SiP4, a cell relaxed with GGA-PBE gives the computed PXRD pattern in this record (Cu Ka).
No peak broadening, texture or thermal motion is included.

Structure:
Cell: 9.3117 16.1235 7.3013 Å, 90.00 90.90 90.00°
Space group Cc (No. 9)
Symmetry-distinct sites (fractional):
1 Na 0.0000 0.0713 0.0000
2 Na 0.0846 0.4230 0.5381
3 Na 0.0862 0.2357 0.7026
4 Na 0.3009 0.3542 0.0260
5 Sr 0.0033 0.2609 0.1992
6 Sr 0.2891 0.0264 0.6964
7 Si 0.2988 0.1671 0.3126
8 P 0.9996 0.4032 0.9185
9 P 0.0885 0.0985 0.4023
10 P 0.2905 0.3017 0.4099
11 P 0.2937 0.1624 0.9955

Largest 10 diffraction maxima, low angle first, 2θ from 10° to 90°:
2θ 10.97, d 8.063, I 100, hkl 1 1 0
2θ 16.27, d 5.449, I 23, hkl 1 1 -1
2θ 31.67, d 2.825, I 26, hkl 3 1 -1
2θ 31.76, d 2.817, I 19, hkl 1 5 -1
2θ 31.91, d 2.805, I 25, hkl 1 5 1
2θ 32.88, d 2.724, I 42, hkl 2 2 -2
2θ 33.11, d 2.706, I 40, hkl 0 4 2
2θ 33.34, d 2.688, I 48, hkl 2 2 2
2θ 35.76, d 2.511, I 18, hkl 3 3 1
2θ 38.68, d 2.328, I 70, hkl 4 0 0

12.
For K2Ge, a cell relaxed with GGA-PBE gives the computed PXRD pattern in this record (Cu Ka).
No peak broadening, texture or thermal motion is included.

Structure:
Cell: 22.8440 5.6257 4.1401 Å, 90.00 100.36 90.00°
Space group Cm (No. 8)
Symmetry-distinct sites (fractional):
1 K 0.0000 0.0000 0.0000
2 K 0.1045 0.5000 0.1133
3 K 0.2435 0.0000 0.7493
4 K 0.3580 0.5000 0.3610
5 Ge 0.4042 0.0000 0.9084
6 Ge 0.4698 0.0000 0.4739

Largest 10 diffraction maxima, low angle first, 2θ from 10° to 90°:
2θ 16.24, d 5.457, I 80, hkl 1 1 0
2θ 25.37, d 3.511, I 92, hkl 5 1 0
2θ 27.91, d 3.197, I 65, hkl 1 1 1
2θ 29.33, d 3.045, I 25, hkl 4 0 1
2θ 31.19, d 2.867, I 100, hkl 3 1 1
2θ 31.82, d 2.812, I 85, hkl 0 2 0
2θ 36.06, d 2.490, I 90, hkl 7 1 -1
2θ 43.75, d 2.069, I 34, hkl 2 0 -2
2θ 55.09, d 1.667, I 31, hkl 2 2 -2
2θ 60.29, d 1.535, I 24, hkl 12 2 -1

Please write out number 11 again, unchanged.
For Na4Sr2SiP4, a cell relaxed with GGA-PBE gives the computed PXRD pattern in this record (Cu Ka).
No peak broadening, texture or thermal motion is included.

Structure:
Cell: 9.3117 16.1235 7.3013 Å, 90.00 90.90 90.00°
Space group Cc (No. 9)
Symmetry-distinct sites (fractional):
1 Na 0.0000 0.0713 0.0000
2 Na 0.0846 0.4230 0.5381
3 Na 0.0862 0.2357 0.7026
4 Na 0.3009 0.3542 0.0260
5 Sr 0.0033 0.2609 0.1992
6 Sr 0.2891 0.0264 0.6964
7 Si 0.2988 0.1671 0.3126
8 P 0.9996 0.4032 0.9185
9 P 0.0885 0.0985 0.4023
10 P 0.2905 0.3017 0.4099
11 P 0.2937 0.1624 0.9955

Largest 10 diffraction maxima, low angle first, 2θ from 10° to 90°:
2θ 10.97, d 8.063, I 100, hkl 1 1 0
2θ 16.27, d 5.449, I 23, hkl 1 1 -1
2θ 31.67, d 2.825, I 26, hkl 3 1 -1
2θ 31.76, d 2.817, I 19, hkl 1 5 -1
2θ 31.91, d 2.805, I 25, hkl 1 5 1
2θ 32.88, d 2.724, I 42, hkl 2 2 -2
2θ 33.11, d 2.706, I 40, hkl 0 4 2
2θ 33.34, d 2.688, I 48, hkl 2 2 2
2θ 35.76, d 2.511, I 18, hkl 3 3 1
2θ 38.68, d 2.328, I 70, hkl 4 0 0